The following is a calculated powder diffractogram of NaC3O3. It was derived from a DFT-relaxed cell (PBE, Alexandria), using λ = 1.5418 Å (Cu Kα).
No peak broadening, texture or thermal motion is included.

Crystal structure
a = 9.363 Å, b = 8.292 Å, c = 7.159 Å
α = 74.19°, β = 58.45°, γ = 47.36°
Element x y z (fractional)
Na 0.024 0.726 0.024
Na 0.274 0.976 0.274
Na 0.726 0.024 0.726
Na 0.976 0.274 0.976
C 0.175 0.474 0.592
C 0.259 0.592 0.474
C 0.273 0.273 0.477
C 0.408 0.741 0.825
C 0.474 0.175 0.259
C 0.477 0.477 0.273
C 0.523 0.523 0.727
C 0.526 0.825 0.741
C 0.592 0.259 0.175
C 0.727 0.727 0.523
C 0.741 0.408 0.526
C 0.825 0.526 0.408
O 0.012 0.553 0.783
O 0.151 0.783 0.553
O 0.186 0.186 0.564
O 0.217 0.849 0.988
O 0.436 0.436 0.814
O 0.447 0.988 0.849
O 0.553 0.012 0.151
O 0.564 0.564 0.186
O 0.783 0.151 0.012
O 0.814 0.814 0.436
O 0.849 0.217 0.447
O 0.988 0.447 0.217

Main lines, by intensity (2θ = 10–90°):
two_theta	I/Imax
25.88	100
39.79	44
30.18	42
43.69	26
39.17	24
19.35	22

The following is a calculated powder diffractogram of AcScHgAu. It was derived from a DFT-relaxed cell (PBE, Alexandria), using λ = 1.5418 Å (Cu Kα).
No peak broadening, texture or thermal motion is included.

Crystal structure
a = 5.323 Å, b = 5.323 Å, c = 5.323 Å
α = 60.00°, β = 60.00°, γ = 60.00°
Element x y z (fractional)
Ac 0.000 0.000 0.000
Sc 0.500 0.500 0.500
Hg 0.250 0.250 0.250
Au 0.750 0.750 0.750

Main lines, by intensity (2θ = 10–90°):
two_theta	I/Imax
33.67	100
60.22	38
48.36	18
80.73	17
20.43	15
70.80	12

The following is a calculated powder diffractogram of TlSn5Te7. It was derived from a DFT-relaxed cell (PBE, Alexandria), using λ = 1.5418 Å (Cu Kα).
No peak broadening, texture or thermal motion is included.

Crystal structure
a = 7.828 Å, b = 7.828 Å, c = 25.679 Å
α = 90.03°, β = 90.03°, γ = 33.32°
Element x y z (fractional)
Tl 0.171 0.171 0.250
Tl 0.829 0.829 0.750
Sn 0.000 0.000 0.000
Sn 0.000 0.000 0.500
Sn 0.285 0.285 0.578
Sn 0.285 0.285 0.922
Sn 0.433 0.433 0.352
Sn 0.434 0.434 0.148
Sn 0.566 0.566 0.852
Sn 0.567 0.567 0.648
Sn 0.715 0.715 0.078
Sn 0.715 0.715 0.422
Te 0.090 0.090 0.388
Te 0.091 0.091 0.112
Te 0.190 0.190 0.681
Te 0.190 0.190 0.819
Te 0.361 0.361 0.035
Te 0.361 0.361 0.465
Te 0.482 0.482 0.750
Te 0.518 0.518 0.250
Te 0.639 0.639 0.535
Te 0.639 0.639 0.965
Te 0.810 0.810 0.181
Te 0.810 0.810 0.319
Te 0.909 0.909 0.888
Te 0.910 0.910 0.612

Main lines, by intensity (2θ = 10–90°):
two_theta	I/Imax
27.60	100
40.18	75
27.06	58
28.69	40
37.84	38
26.92	34

The following is a calculated powder diffractogram of TbY4Er2. It was derived from a DFT-relaxed cell (PBE, Alexandria), using λ = 1.5418 Å (Cu Kα).
No peak broadening, texture or thermal motion is included.

Crystal structure
a = 3.496 Å, b = 8.518 Å, c = 8.674 Å
α = 64.12°, β = 89.90°, γ = 78.17°
Element x y z (fractional)
Tb 0.000 0.000 0.000
Y 0.078 0.841 0.701
Y 0.364 0.273 0.593
Y 0.636 0.727 0.407
Y 0.922 0.159 0.299
Er 0.223 0.556 0.147
Er 0.777 0.444 0.853

Main lines, by intensity (2θ = 10–90°):
two_theta	I/Imax
30.86	100
31.12	97
32.99	81
33.19	49
36.84	49
27.52	45

The following is a calculated powder diffractogram of PuCl2. It was derived from a DFT-relaxed cell (PBE, Alexandria), using λ = 1.5418 Å (Cu Kα).
No peak broadening, texture or thermal motion is included.

Crystal structure
a = 4.012 Å, b = 4.012 Å, c = 13.390 Å
α = 90.00°, β = 90.00°, γ = 119.96°
Element x y z (fractional)
Pu 0.173 0.827 0.500
Pu 0.827 0.173 0.000
Cl 0.160 0.840 0.120
Cl 0.493 0.507 0.880
Cl 0.507 0.493 0.380
Cl 0.840 0.160 0.620

Main lines, by intensity (2θ = 10–90°):
two_theta	I/Imax
13.22	100
26.50	69
32.66	63
42.62	32
28.95	28
47.30	26